Computed powder diffraction line list
Compound: La7Co2AgHg2
Radiation: copper Kα
Structure: the PBE geometry in Alexandria

Principal peaks in the range 5° ≤ 2θ ≤ 70°, sorted by position:
(0 2 0), 2θ = 23.78°, I = 27; (2 0 -2), 2θ = 24.72°, I = 22; (2 0 -3), 2θ = 27.36°, I = 51; (2 0 2), 2θ = 31.31°, I = 92; (0 0 5), 2θ = 33.77°, I = 28; (2 2 -1), 2θ = 33.88°, I = 100; (1 1 4), 2θ = 34.83°, I = 31; (0 4 0), 2θ = 48.59°, I = 58; (4 0 -2), 2θ = 48.75°, I = 18; (2 4 2), 2θ = 58.96°, I = 15

Structural model:
a = 7.4719 Å, b = 7.4955 Å, c = 13.7843 Å
α = 90.00°, β = 105.69°, γ = 90.00°
Space group C2/m (No. 12)
Inequivalent atoms, fractional coordinates:
La (0.0000, 0.0000, 0.0000)
La (0.1504, 0.2497, 0.8011)
La (0.2076, 0.0000, 0.4152)
Co (0.0990, 0.0000, 0.1962)
Ag (0.0000, 0.5000, 0.0000)
Hg (0.1748, 0.5000, 0.3518)

Computed powder diffraction line list
Compound: PrNd2Sm4Er
Radiation: copper Kα
Structure: the PBE geometry in Alexandria

Principal peaks in the range 5° ≤ 2θ ≤ 70°, sorted by position:
(0 4 0), 2θ = 26.56°, I = 45; (4 0 0), 2θ = 29.86°, I = 100; (4 4 0), 2θ = 40.39°, I = 88; (4 0 2), 2θ = 52.96°, I = 13; (8 0 -2), 2θ = 53.08°, I = 7; (4 4 2), 2θ = 60.21°, I = 18; (8 4 -2), 2θ = 60.32°, I = 9; (8 0 0), 2θ = 62.08°, I = 8; (4 8 0), 2θ = 63.58°, I = 23; (8 4 0), 2θ = 68.73°, I = 12

Structural model:
a = 13.8025 Å, b = 13.4218 Å, c = 6.9195 Å
α = 90.00°, β = 119.99°, γ = 90.00°
Space group C2/c (No. 15)
Inequivalent atoms, fractional coordinates:
Pr (0.2500, 0.2500, 0.0000)
Nd (0.0000, 0.0000, 0.0000)
Nd (0.2500, 0.2500, 0.5000)
Sm (0.0001, 0.2565, 0.0005)
Sm (0.2454, 0.4997, 0.4808)
Er (0.0000, 0.5000, 0.0000)

Computed powder diffraction line list
Compound: SrLaCuAg
Radiation: copper Kα
Structure: the PBE geometry in Alexandria

Principal peaks in the range 5° ≤ 2θ ≤ 70°, sorted by position:
(1 1 1), 2θ = 20.30°, I = 6; (2 0 0), 2θ = 23.48°, I = 1; (2 2 0), 2θ = 33.45°, I = 100; (3 1 1), 2θ = 39.44°, I = 3; (4 0 0), 2θ = 48.03°, I = 18; (3 3 1), 2θ = 52.65°, I = 1; (4 2 0), 2θ = 54.13°, I = 1; (4 2 2), 2θ = 59.79°, I = 36; (5 1 1), 2θ = 63.83°, I = 1

Structural model:
a = 7.5778 Å, b = 7.5778 Å, c = 7.5778 Å
α = 90.00°, β = 90.00°, γ = 90.00°
Space group F-43m (No. 216)
Inequivalent atoms, fractional coordinates:
Sr (0.0000, 0.0000, 0.0000)
La (0.0000, 0.0000, 0.5000)
Cu (0.2500, 0.2500, 0.7500)
Ag (0.2500, 0.2500, 0.2500)